Diffraction record for PmSm2C. The powder diffraction line list is computed, not measured: it uses a crystal structure in Alexandria, relaxed with GGA-PBE and a wavelength of 1.5418 Å.
Intensities are scaled so that the largest is 100.

The 10 most intense peaks (10° ≤ 2θ ≤ 90°), low angle first:
d (Å)	I_rel
3.165	35
3.005	100
2.635	76
1.900	30
1.829	26
1.629	15
1.583	32
1.562	15
1.502	13
1.188	13

Crystal structure
```
4
Lattice="3.6576 0.0000 0.0000 -1.8288 3.1676 0.0000 0.0000 0.0000 9.4958" Properties=species:S:1:pos:R:3 pbc="T T T"
Pm 0.0000 0.0000 0.0000
Sm 0.0000 2.1117 6.1527
Sm 1.8288 1.0559 3.3430
C 0.0000 0.0000 4.7479
```